Entry 1:
Structure and theoretical XRD peak list of CeNdHoTm3 (the PBE geometry in Alexandria; Cu Kα (λ = 1.5418 Å)).

Main lines, in order of rising 2θ (5° ≤ 2θ ≤ 70°):
d/Å, I (rel.)
7.462, 1
2.885, 100
2.504, 34
2.487, 17
1.771, 12
1.765, 24
1.510, 14
1.508, 14
1.502, 14
1.442, 12

Cell and atoms:
a b c (Å): 7.872 7.872 10.006
angles (deg): 90.00 90.00 142.86
Sites, in units of the cell vectors:
Ce (0.000, 0.000, 0.250)
Ce (0.000, 0.000, 0.750)
Nd (0.500, 0.500, 0.000)
Nd (0.500, 0.500, 0.500)
Ho (0.332, 0.668, 0.750)
Ho (0.668, 0.332, 0.250)
Tm (0.167, 0.833, 0.000)
Tm (0.167, 0.833, 0.500)
Tm (0.332, 0.668, 0.250)
Tm (0.668, 0.332, 0.750)
Tm (0.833, 0.167, 0.000)
Tm (0.833, 0.167, 0.500)

***

Entry 2:
Structure and theoretical XRD peak list of HfSi2S4 (the PBE geometry in Alexandria; Cu Kα (λ = 1.5418 Å)).

Main lines, in order of rising 2θ (5° ≤ 2θ ≤ 70°):
d/Å, I (rel.)
4.801, 100
3.488, 17
3.309, 20
2.822, 61
2.748, 32
2.466, 21
1.857, 17
1.835, 38
1.801, 16
1.639, 14

Cell and atoms:
a b c (Å): 6.975 6.975 6.617
angles (deg): 90.00 90.00 90.00
Sites, in units of the cell vectors:
Hf (0.000, 0.000, 0.000)
Hf (0.500, 0.500, 0.500)
Si (0.000, 0.500, 0.250)
Si (0.000, 0.500, 0.750)
Si (0.500, 0.000, 0.250)
Si (0.500, 0.000, 0.750)
S (0.167, 0.319, 0.000)
S (0.181, 0.667, 0.500)
S (0.319, 0.833, 0.000)
S (0.333, 0.181, 0.500)
S (0.667, 0.819, 0.500)
S (0.681, 0.167, 0.000)
S (0.819, 0.333, 0.500)
S (0.833, 0.681, 0.000)

***

Entry 3:
Structure and theoretical XRD peak list of K7Rb3Au (the PBE geometry in Alexandria; Cu Kα (λ = 1.5418 Å)).

Main lines, in order of rising 2θ (5° ≤ 2θ ≤ 70°):
d/Å, I (rel.)
7.624, 60
7.422, 72
5.845, 100
5.698, 69
4.629, 44
4.452, 43
3.582, 76
3.379, 55
3.357, 88
3.181, 47

Cell and atoms:
a b c (Å): 8.332 8.332 12.488
angles (deg): 101.71 101.71 107.47
Sites, in units of the cell vectors:
K (0.000, 0.000, 0.000)
K (0.070, 0.699, 0.427)
K (0.202, 0.202, 0.375)
K (0.501, 0.501, 0.198)
K (0.519, 0.938, 0.072)
K (0.699, 0.070, 0.427)
K (0.938, 0.519, 0.072)
Rb (0.125, 0.458, 0.760)
Rb (0.458, 0.125, 0.760)
Rb (0.671, 0.671, 0.639)
Au (0.851, 0.851, 0.224)